Starting from a cell relaxed with GGA-PBE, the X-ray diffraction stick pattern of Sm7HoEr2 was simulated for copper Kα.
Neutral-atom scattering factors, no anomalous dispersion.

Most intense lines, 2θ from 10° to 90°, in order of falling intensity:
2θ 30.98, d = 2.887 Å, I = 1000; 2θ 30.51, d = 2.930 Å, I = 858; 2θ 32.48, d = 2.757 Å, I = 455; 2θ 32.95, d = 2.718 Å, I = 201; 2θ 33.08, d = 2.708 Å, I = 199; 2θ 57.01, d = 1.616 Å, I = 179; 2θ 34.06, d = 2.632 Å, I = 155; 2θ 46.94, d = 1.936 Å, I = 150; 2θ 47.04, d = 1.932 Å, I = 149; 2θ 56.72, d = 1.623 Å, I = 149; 2θ 61.45, d = 1.509 Å, I = 142; 2θ 61.64, d = 1.505 Å, I = 141

Structure:
```
data_Sm7HoEr2
_symmetry_space_group_name_H-M 'P 1'
_symmetry_Int_Tables_number 1
_symmetry_space_group_name_Hall 'P 1'
_cell_length_a 9.571
_cell_length_b 9.571
_cell_length_c 7.066
_cell_angle_alpha 111.46
_cell_angle_beta 111.46
_cell_angle_gamma 33.48
loop_
_atom_site_label
_atom_site_fract_x
_atom_site_fract_y
_atom_site_fract_z
Sm1 0.000 0.000 0.000
Sm2 0.199 0.199 0.699
Sm3 0.391 0.391 0.141
Sm4 0.391 0.391 0.641
Sm5 0.609 0.609 0.359
Sm6 0.609 0.609 0.859
Sm7 0.801 0.801 0.301
Ho1 0.000 0.000 0.500
Er1 0.200 0.200 0.199
Er2 0.800 0.800 0.801
```